Computed XRD peak list of W3N4 for Cu Kα (weighted mean of Kα1 and Kα2), from a structure optimized by DFT (PBE).

The 10 most intense peaks (10 to 80 degrees two-theta), most intense first:
2θ (°), intensity
36.21, 100
34.62, 52
34.30, 43
51.27, 42
30.30, 37
50.19, 36
16.96, 35
19.43, 34
41.12, 28
50.63, 23

Cell and atoms:
```
W3N4
1.0
5.7427 -1.4128 0.0000
5.7427 1.4128 0.0000
-2.1444 0.0000 4.7219
W N
3 4
Direct
0.0000 0.0000 0.0000
0.2700 0.2700 0.2955
0.7300 0.7300 0.7045
0.1126 0.1126 0.4236
0.3641 0.3641 0.0248
0.6359 0.6359 0.9752
0.8874 0.8874 0.5764
```

---

Computed XRD peak list of TlAu2Cl7 for Cu Kα (weighted mean of Kα1 and Kα2), from a structure optimized by DFT (PBE).

The 10 most intense peaks (10 to 80 degrees two-theta), most intense first:
2θ (°), intensity
16.02, 100
25.93, 69
20.62, 39
26.09, 38
33.34, 34
19.85, 30
15.62, 28
20.40, 25
23.84, 23
30.67, 22

Cell and atoms:
```
TlAu2Cl7
1.0
7.1807 0.0000 0.0000
1.4552 7.9333 0.0000
1.4437 2.0398 10.2348
Tl Au Cl
2 4 14
Direct
0.0189 0.3319 0.3479
0.9811 0.6681 0.6521
0.2842 0.1211 0.6989
0.4796 0.7626 0.9928
0.5204 0.2374 0.0072
0.7158 0.8789 0.3011
0.2042 0.7843 0.3877
0.2300 0.8693 0.8577
0.2498 0.9630 0.5356
0.2762 0.5869 0.1273
0.2858 0.3226 0.8634
0.2988 0.3647 0.5380
0.3198 0.0750 0.1540
0.6802 0.9250 0.8460
0.7012 0.6353 0.4620
0.7142 0.6774 0.1366
0.7238 0.4131 0.8727
0.7502 0.0370 0.4644
0.7700 0.1307 0.1423
0.7958 0.2157 0.6123
```

---

Computed XRD peak list of LaGdSi4Os2 for Cu Kα (weighted mean of Kα1 and Kα2), from a structure optimized by DFT (PBE).

The 10 most intense peaks (10 to 80 degrees two-theta), most intense first:
2θ (°), intensity
30.10, 100
33.20, 81
30.92, 79
10.97, 79
35.27, 55
39.96, 53
29.63, 52
43.63, 40
40.26, 29
57.30, 27

Cell and atoms:
```
LaGdSi4Os2
1.0
4.4886 0.0000 0.0000
0.0000 4.1494 0.0000
-1.7451 0.0000 8.0658
La Gd Si Os
1 1 4 2
Direct
0.0000 0.0000 0.0000
0.8179 0.5000 0.5958
0.0775 0.5000 0.2990
0.3719 0.0000 0.7080
0.4491 0.5000 0.8905
0.7443 0.0000 0.3083
0.2937 0.0000 0.4163
0.5290 0.5000 0.1892
```

---

Computed XRD peak list of BaDyZnSe3 for Cu Kα (weighted mean of Kα1 and Kα2), from a structure optimized by DFT (PBE).

The 10 most intense peaks (10 to 80 degrees two-theta), most intense first:
2θ (°), intensity
29.08, 100
32.54, 90
41.76, 51
40.94, 48
33.41, 43
12.64, 42
27.84, 40
20.86, 39
32.88, 38
42.46, 28

Cell and atoms:
```
BaDyZnSe3
1.0
2.2045 -7.0016 0.0000
2.2045 7.0016 0.0000
0.0000 0.0000 10.7265
Ba Dy Zn Se
2 2 2 6
Direct
0.2478 0.7522 0.7500
0.7522 0.2478 0.2500
0.0000 0.0000 0.0000
0.0000 0.0000 0.5000
0.4807 0.5193 0.2500
0.5193 0.4807 0.7500
0.0718 0.9282 0.2500
0.3681 0.6319 0.0649
0.3681 0.6319 0.4351
0.6319 0.3681 0.5649
0.6319 0.3681 0.9351
0.9282 0.0718 0.7500
```

---

Computed XRD peak list of Nd2B4IrPt4 for Cu Kα (weighted mean of Kα1 and Kα2), from a structure optimized by DFT (PBE).

The 10 most intense peaks (10 to 80 degrees two-theta), most intense first:
2θ (°), intensity
38.06, 100
28.65, 81
34.16, 61
36.76, 54
48.35, 33
44.41, 32
38.89, 27
72.76, 26
58.97, 25
67.07, 20

Cell and atoms:
```
Nd2B4IrPt4
1.0
0.0000 4.8892 6.2231
2.7014 0.0000 6.2231
2.7014 4.8892 0.0000
Nd B Ir Pt
2 4 1 4
Direct
0.1411 0.1411 0.8589
0.8589 0.8589 0.1411
0.2163 0.5239 0.4761
0.4761 0.7837 0.2163
0.5239 0.2163 0.7837
0.7837 0.4761 0.5239
0.5000 0.5000 0.5000
0.0000 0.0000 0.5000
0.2500 0.2500 0.2500
0.5000 0.5000 0.0000
0.7500 0.7500 0.7500
```

---

Computed XRD peak list of TlZnB4 for Cu Kα (weighted mean of Kα1 and Kα2), from a structure optimized by DFT (PBE).

The 10 most intense peaks (10 to 80 degrees two-theta), most intense first:
2θ (°), intensity
39.72, 100
20.34, 67
33.75, 63
10.13, 62
54.40, 37
35.32, 31
64.39, 19
60.36, 16
74.71, 15
75.81, 14

Cell and atoms:
```
TlZnB4
1.0
3.0669 0.0000 0.0000
-1.5335 2.6561 0.0000
0.0000 0.0000 8.7323
Tl Zn B
1 1 4
Direct
0.0000 0.0000 0.0000
0.0000 0.0000 0.5000
0.3333 0.6667 0.3108
0.3333 0.6667 0.6892
0.6667 0.3333 0.3108
0.6667 0.3333 0.6892
```

---

Computed XRD peak list of Li3Zr2O6 for Cu Kα (weighted mean of Kα1 and Kα2), from a structure optimized by DFT (PBE).

The 10 most intense peaks (10 to 80 degrees two-theta), most intense first:
2θ (°), intensity
41.35, 100
18.31, 96
33.38, 64
19.00, 49
20.90, 46
58.53, 29
61.27, 27
45.57, 27
24.26, 25
35.10, 23

Cell and atoms:
```
Li3Zr2O6
1.0
2.7324 -4.7296 0.0000
2.7324 4.7296 0.0000
-1.8169 0.0000 9.6901
Li Zr O
6 4 12
Direct
0.0683 0.3708 0.7519
0.2166 0.2166 0.2524
0.4266 0.0757 0.7517
0.6292 0.9317 0.2481
0.7834 0.7834 0.7476
0.9243 0.5734 0.2483
0.1657 0.8343 0.0000
0.3455 0.6545 0.5000
0.5016 0.4984 0.0000
0.6814 0.3186 0.5000
0.0547 0.6504 0.6241
0.1689 0.1223 0.8704
0.2565 0.5887 0.1249
0.3496 0.9453 0.3759
0.4113 0.7435 0.8751
0.4369 0.4099 0.6246
0.4978 0.2073 0.1242
0.5901 0.5631 0.3754
0.6793 0.0303 0.6296
0.7927 0.5022 0.8758
0.8777 0.8311 0.1296
0.9697 0.3207 0.3704
```

---

Computed XRD peak list of Ta2FeAs2Os for Cu Kα (weighted mean of Kα1 and Kα2), from a structure optimized by DFT (PBE).

The 10 most intense peaks (10 to 80 degrees two-theta), most intense first:
2θ (°), intensity
43.57, 100
26.30, 69
43.73, 50
51.75, 22
30.54, 16
63.56, 16
79.89, 12
51.48, 11
30.33, 8
63.08, 8

Cell and atoms:
```
Ta2FeAs2Os
1.0
7.2004 0.0000 0.0000
0.0000 4.1378 0.0000
-2.3158 0.0000 13.5663
Ta Fe As Os
8 4 8 4
Direct
0.0000 0.0000 0.0000
0.0054 0.5000 0.4898
0.2356 0.0000 0.7351
0.2449 0.5000 0.2402
0.4819 0.0000 0.4820
0.4985 0.5000 0.9992
0.7428 0.0000 0.2348
0.7555 0.5000 0.7372
0.0588 0.5000 0.6740
0.0598 0.0000 0.1813
0.3045 0.5000 0.4227
0.5572 0.5000 0.1796
0.1191 0.5000 0.8577
0.1264 0.0000 0.3612
0.3592 0.5000 0.6078
0.3721 0.0000 0.1230
0.6077 0.5000 0.3597
0.6208 0.0000 0.8633
0.8743 0.5000 0.1235
0.8805 0.0000 0.6146
0.3081 0.0000 0.9292
0.5561 0.0000 0.6726
0.8073 0.0000 0.4245
0.8110 0.5000 0.9310
```

---

Computed XRD peak list of Na2Al4CuAg for Cu Kα (weighted mean of Kα1 and Kα2), from a structure optimized by DFT (PBE).

The 10 most intense peaks (10 to 80 degrees two-theta), most intense first:
2θ (°), intensity
37.12, 100
25.85, 95
18.43, 88
43.69, 73
33.53, 58
42.32, 43
43.03, 40
39.40, 38
24.28, 37
22.09, 29

Cell and atoms:
```
Na2Al4CuAg
1.0
7.3329 0.0000 0.0000
0.0000 2.1358 4.8141
0.0000 -2.1358 4.8141
Na Al Cu Ag
2 4 1 1
Direct
0.0000 0.0000 0.0000
0.5000 0.1343 0.1343
0.1831 0.7115 0.7115
0.2956 0.4203 0.4203
0.7044 0.4203 0.4203
0.8169 0.7115 0.7115
0.0000 0.2832 0.2832
0.5000 0.8479 0.8479
```

---

Computed XRD peak list of HoCoGe2 for Cu Kα (weighted mean of Kα1 and Kα2), from a structure optimized by DFT (PBE).

The 10 most intense peaks (10 to 80 degrees two-theta), most intense first:
2θ (°), intensity
34.70, 100
39.17, 22
43.55, 20
43.91, 20
31.02, 16
63.56, 13
56.87, 13
60.28, 12
74.74, 11
54.61, 10

Cell and atoms:
```
HoCoGe2
1.0
2.0621 -8.2820 0.0000
2.0621 8.2820 0.0000
0.0000 0.0000 4.1561
Ho Co Ge
2 2 4
Direct
0.1088 0.8912 0.7500
0.8912 0.1088 0.2500
0.3196 0.6804 0.7500
0.6804 0.3196 0.2500
0.2507 0.7493 0.2500
0.4557 0.5443 0.7500
0.5443 0.4557 0.2500
0.7493 0.2507 0.7500
```

---

Computed XRD peak list of Dy2ErTm4Ni2Te2 for Cu Kα (weighted mean of Kα1 and Kα2), from a structure optimized by DFT (PBE).

The 10 most intense peaks (10 to 80 degrees two-theta), most intense first:
2θ (°), intensity
34.32, 100
33.27, 80
34.81, 74
30.60, 51
59.28, 31
47.56, 30
29.08, 24
36.92, 23
30.40, 23
38.77, 19

Cell and atoms:
```
Dy2ErTm4Ni2Te2
1.0
-1.9118 7.7330 4.7366
1.9118 -7.7330 4.7366
1.9118 7.7330 -4.7366
Dy Er Tm Ni Te
2 1 4 2 2
Direct
0.1332 0.0000 0.1332
0.8668 0.0000 0.8668
0.4170 0.4170 0.0000
0.1109 0.7963 0.3146
0.4817 0.7963 0.6854
0.5008 0.1473 0.3535
0.7938 0.1473 0.6465
0.2516 0.4890 0.7626
0.7265 0.4890 0.2374
0.1523 0.6523 0.5000
0.7542 0.7542 0.0000
```

---

Computed XRD peak list of Y4Ga21Ni10 for Cu Kα (weighted mean of Kα1 and Kα2), from a structure optimized by DFT (PBE).

The 10 most intense peaks (10 to 80 degrees two-theta), most intense first:
2θ (°), intensity
37.98, 100
44.31, 63
38.65, 41
36.85, 28
45.89, 25
42.31, 20
47.59, 17
46.71, 16
39.99, 16
33.74, 14

Cell and atoms:
```
Y4Ga21Ni10
1.0
10.4570 -2.0442 0.0000
10.4570 2.0442 0.0000
-8.9364 0.0000 12.6651
Y Ga Ni
4 21 10
Direct
0.1198 0.1198 0.3334
0.2296 0.2296 0.8232
0.7704 0.7704 0.1768
0.8802 0.8802 0.6666
0.0060 0.0060 0.0906
0.0650 0.0650 0.7954
0.1174 0.1174 0.5540
0.2005 0.2005 0.0024
0.2476 0.2476 0.2942
0.2977 0.2977 0.4971
0.3739 0.3739 0.8059
0.3858 0.3858 0.2959
0.3991 0.3991 0.0025
0.4604 0.4604 0.6315
0.5000 0.5000 0.5000
0.5396 0.5396 0.3685
0.6009 0.6009 0.9975
0.6142 0.6142 0.7041
0.6261 0.6261 0.1941
0.7023 0.7023 0.5029
0.7524 0.7524 0.7058
0.7995 0.7995 0.9976
0.8826 0.8826 0.4460
0.9350 0.9350 0.2046
0.9940 0.9940 0.9094
0.0246 0.0246 0.6065
0.1320 0.1320 0.1028
0.2498 0.2498 0.6144
0.3474 0.3474 0.1111
0.4977 0.4977 0.8142
0.5023 0.5023 0.1858
0.6526 0.6526 0.8889
0.7502 0.7502 0.3856
0.8680 0.8680 0.8972
0.9754 0.9754 0.3935
```